Entry 1:
Theoretical XRD peak list
Compound: Li2Sm5Sn7
Radiation: λ = 1.5418 Å (Cu Kα)
Structure: a DFT-relaxed cell (PBE, the Materials Project)

Top 10 peaks for 2θ from 15° to 90°, low angle first:
d = 3.105 Å, 28.75°, rel. 22
d = 2.823 Å, 31.70°, rel. 44
d = 2.805 Å, 31.90°, rel. 74
d = 2.687 Å, 33.34°, rel. 100
d = 2.617 Å, 34.27°, rel. 41
d = 2.570 Å, 34.91°, rel. 39
d = 2.483 Å, 36.18°, rel. 22
d = 2.021 Å, 44.86°, rel. 27
d = 1.477 Å, 62.95°, rel. 21
d = 1.435 Å, 65.00°, rel. 26

Crystal structure
```
Li2Sm5Sn7
1.0
6.212 0.000 0.000
0.000 13.728 0.000
0.000 0.000 17.307
Li Sm Sn
8 20 28
direct
0.077 0.231 0.020
0.110 0.231 0.728
0.390 0.769 0.228
0.423 0.769 0.520
0.577 0.269 0.980
0.610 0.269 0.272
0.890 0.731 0.772
0.923 0.731 0.480
0.138 0.176 0.217
0.141 0.503 0.483
0.144 0.502 0.764
0.145 0.180 0.541
0.152 0.925 0.377
0.348 0.075 0.877
0.355 0.820 0.041
0.356 0.498 0.264
0.359 0.497 0.983
0.362 0.824 0.717
0.638 0.324 0.783
0.641 0.997 0.517
0.644 0.998 0.236
0.645 0.320 0.459
0.652 0.575 0.623
0.848 0.425 0.123
0.855 0.680 0.959
0.856 0.002 0.736
0.859 0.003 0.017
0.862 0.676 0.283
0.093 0.879 0.879
0.110 0.626 0.121
0.139 0.651 0.623
0.139 0.937 0.565
0.152 0.944 0.188
0.177 0.313 0.378
0.201 0.309 0.872
0.299 0.691 0.372
0.323 0.687 0.878
0.348 0.056 0.688
0.361 0.063 0.065
0.361 0.349 0.123
0.390 0.374 0.621
0.407 0.121 0.379
0.593 0.621 0.121
0.610 0.874 0.879
0.639 0.563 0.435
0.639 0.849 0.377
0.652 0.556 0.812
0.677 0.187 0.622
0.701 0.191 0.128
0.799 0.809 0.628
0.823 0.813 0.122
0.848 0.444 0.312
0.861 0.151 0.877
0.861 0.437 0.935
0.890 0.126 0.379
0.907 0.379 0.621
```

***

Entry 2:
Theoretical XRD peak list
Compound: RbHfMg14
Radiation: λ = 1.5418 Å (Cu Kα)
Structure: a DFT-relaxed cell (PBE, the Materials Project)

Top 10 peaks for 2θ from 15° to 90°, low angle first:
d = 5.746 Å, 15.42°, rel. 54
d = 3.844 Å, 23.14°, rel. 47
d = 2.873 Å, 31.13°, rel. 32
d = 2.793 Å, 32.05°, rel. 20
d = 2.586 Å, 34.68°, rel. 23
d = 2.512 Å, 35.75°, rel. 100
d = 1.922 Å, 47.29°, rel. 19
d = 1.659 Å, 55.39°, rel. 18
d = 1.478 Å, 62.86°, rel. 18
d = 1.396 Å, 67.03°, rel. 19

Crystal structure
```
RbHfMg14
1.0
6.635 0.000 0.000
-3.317 5.746 0.000
0.000 0.000 10.346
Rb Hf Mg
1 1 14
direct
0.000 0.000 0.000
0.000 0.000 0.500
0.001 0.501 0.500
0.006 0.503 0.000
0.170 0.341 0.264
0.170 0.341 0.736
0.170 0.830 0.264
0.170 0.830 0.736
0.497 0.503 0.000
0.497 0.994 0.000
0.499 0.501 0.500
0.499 0.999 0.500
0.659 0.830 0.264
0.659 0.830 0.736
0.667 0.333 0.248
0.667 0.333 0.752
```

***

Entry 3:
Theoretical XRD peak list
Compound: Sm3Ag4Ge4
Radiation: λ = 1.5418 Å (Cu Kα)
Structure: a DFT-relaxed cell (PBE, the Materials Project)

Top 10 peaks for 2θ from 15° to 90°, low angle first:
d = 2.741 Å, 32.67°, rel. 100
d = 2.720 Å, 32.93°, rel. 28
d = 2.630 Å, 34.09°, rel. 95
d = 2.448 Å, 36.71°, rel. 31
d = 2.424 Å, 37.08°, rel. 27
d = 2.211 Å, 40.82°, rel. 45
d = 2.154 Å, 41.95°, rel. 38
d = 2.024 Å, 44.77°, rel. 28
d = 1.543 Å, 59.97°, rel. 26
d = 1.282 Å, 73.93°, rel. 16

Crystal structure
```
Sm3Ag4Ge4
1.0
-2.211 3.597 7.346
2.211 -3.597 7.346
2.211 3.597 -7.346
Sm Ag Ge
3 4 4
direct
0.000 0.000 0.000
0.373 0.873 0.500
0.627 0.127 0.500
0.026 0.331 0.695
0.364 0.669 0.695
0.636 0.331 0.305
0.974 0.669 0.305
0.217 0.217 0.000
0.318 0.500 0.818
0.682 0.500 0.182
0.783 0.783 0.000
```